# 1
Starting from the GGA-PBE geometry in Alexandria, the powder diffractogram of Ba4ZnPd2 was computed for copper Kα.
Lines closer than 0.1° are merged.

Peak list (6 most intense, 15 to 90 degrees two-theta, by angle)
2θ = 28.1°, d 3.176, rel. 100
2θ = 28.2°, d 3.162, rel. 94
2θ = 28.7°, d 3.112, rel. 55
2θ = 34.7°, d 2.583, rel. 66
2θ = 35.0°, d 2.561, rel. 70
2θ = 36.9°, d 2.433, rel. 55

Structure:
```
data_Ba4ZnPd2
_chemical_formula_sum 'Ba8 Zn2 Pd4'
_cell_length_a 8.186
_cell_length_b 8.186
_cell_length_c 8.868
_cell_angle_alpha 105.16
_cell_angle_beta 105.16
_cell_angle_gamma 72.94
_symmetry_space_group_name_H-M 'P 1'
_symmetry_Int_Tables_number 1
_symmetry_space_group_name_Hall 'P 1'
loop_
_atom_site_label
_atom_site_fract_x
_atom_site_fract_y
_atom_site_fract_z
_atom_site_occupancy
Ba1 0.000 0.000 0.000 1
Ba2 0.004 0.004 0.509 1
Ba3 0.456 0.981 0.861 1
Ba4 0.474 0.998 0.369 1
Ba5 0.484 0.484 0.990 1
Ba6 0.495 0.495 0.508 1
Ba7 0.981 0.456 0.861 1
Ba8 0.998 0.474 0.369 1
Zn1 0.782 0.782 0.142 1
Zn2 0.802 0.802 0.655 1
Pd1 0.158 0.689 0.714 1
Pd2 0.275 0.275 0.138 1
Pd3 0.288 0.288 0.645 1
Pd4 0.689 0.158 0.714 1
```

---

# 2
Starting from the GGA-PBE geometry in Alexandria, the powder diffractogram of HfTiSCl2 was computed for copper Kα.
Lines closer than 0.1° are merged.

Peak list (6 most intense, 15 to 90 degrees two-theta, by angle)
2θ = 17.8°, d 4.979, rel. 46
2θ = 18.1°, d 4.911, rel. 83
2θ = 25.5°, d 3.496, rel. 100
2θ = 25.7°, d 3.473, rel. 46
2θ = 36.6°, d 2.455, rel. 58
2θ = 45.1°, d 2.009, rel. 44

Structure:
```
data_HfTiSCl2
_chemical_formula_sum 'Hf1 Ti1 S1 Cl2'
_cell_length_a 4.911
_cell_length_b 4.911
_cell_length_c 4.979
_cell_angle_alpha 90.00
_cell_angle_beta 90.00
_cell_angle_gamma 90.00
_symmetry_space_group_name_H-M 'P 1'
_symmetry_Int_Tables_number 1
_symmetry_space_group_name_Hall 'P 1'
loop_
_atom_site_label
_atom_site_fract_x
_atom_site_fract_y
_atom_site_fract_z
_atom_site_occupancy
Hf1 0.000 0.000 0.000 1
Ti1 0.500 0.500 0.500 1
S1 0.000 0.000 0.500 1
Cl1 0.000 0.500 0.000 1
Cl2 0.500 0.000 0.000 1
```

---

# 3
Starting from the GGA-PBE geometry in Alexandria, the powder diffractogram of Er3CSe was computed for copper Kα.
Lines closer than 0.1° are merged.

Peak list (6 most intense, 15 to 90 degrees two-theta, by angle)
2θ = 29.8°, d 3.002, rel. 54
2θ = 31.6°, d 2.833, rel. 100
2θ = 31.8°, d 2.818, rel. 24
2θ = 33.5°, d 2.674, rel. 30
2θ = 41.4°, d 2.183, rel. 28
2θ = 45.4°, d 1.999, rel. 22

Structure:
```
data_Er3CSe
_chemical_formula_sum 'Er6 C2 Se2'
_cell_length_a 6.777
_cell_length_b 6.777
_cell_length_c 8.651
_cell_angle_alpha 103.00
_cell_angle_beta 103.00
_cell_angle_gamma 37.58
_symmetry_space_group_name_H-M 'P 1'
_symmetry_Int_Tables_number 1
_symmetry_space_group_name_Hall 'P 1'
loop_
_atom_site_label
_atom_site_fract_x
_atom_site_fract_y
_atom_site_fract_z
_atom_site_occupancy
Er1 0.070 0.070 0.188 1
Er2 0.173 0.173 0.646 1
Er3 0.339 0.339 0.050 1
Er4 0.661 0.661 0.950 1
Er5 0.827 0.827 0.354 1
Er6 0.930 0.930 0.812 1
C1 0.116 0.116 0.884 1
C2 0.884 0.884 0.116 1
Se1 0.384 0.384 0.583 1
Se2 0.616 0.616 0.417 1
```

---

# 4
Starting from the GGA-PBE geometry in Alexandria, the powder diffractogram of ErInHg5 was computed for copper Kα.
Lines closer than 0.1° are merged.

Peak list (6 most intense, 15 to 90 degrees two-theta, by angle)
2θ = 27.9°, d 3.193, rel. 14
2θ = 35.5°, d 2.530, rel. 53
2θ = 35.7°, d 2.517, rel. 100
2θ = 51.1°, d 1.789, rel. 19
2θ = 63.8°, d 1.458, rel. 37
2θ = 64.2°, d 1.450, rel. 17

Structure:
```
data_ErInHg5
_chemical_formula_sum 'Er1 In1 Hg5'
_cell_length_a 5.059
_cell_length_b 5.059
_cell_length_c 7.082
_cell_angle_alpha 90.00
_cell_angle_beta 90.00
_cell_angle_gamma 90.00
_symmetry_space_group_name_H-M 'P 1'
_symmetry_Int_Tables_number 1
_symmetry_space_group_name_Hall 'P 1'
loop_
_atom_site_label
_atom_site_fract_x
_atom_site_fract_y
_atom_site_fract_z
_atom_site_occupancy
Er1 0.000 0.000 0.000 1
In1 0.000 0.000 0.500 1
Hg1 0.000 0.500 0.269 1
Hg2 0.000 0.500 0.731 1
Hg3 0.500 0.000 0.269 1
Hg4 0.500 0.000 0.731 1
Hg5 0.500 0.500 0.000 1
```

---

What did the fourth record say?
Starting from the GGA-PBE geometry in Alexandria, the powder diffractogram of ErInHg5 was computed for copper Kα.
Lines closer than 0.1° are merged.

Peak list (6 most intense, 15 to 90 degrees two-theta, by angle)
2θ = 27.9°, d 3.193, rel. 14
2θ = 35.5°, d 2.530, rel. 53
2θ = 35.7°, d 2.517, rel. 100
2θ = 51.1°, d 1.789, rel. 19
2θ = 63.8°, d 1.458, rel. 37
2θ = 64.2°, d 1.450, rel. 17

Structure:
```
data_ErInHg5
_chemical_formula_sum 'Er1 In1 Hg5'
_cell_length_a 5.059
_cell_length_b 5.059
_cell_length_c 7.082
_cell_angle_alpha 90.00
_cell_angle_beta 90.00
_cell_angle_gamma 90.00
_symmetry_space_group_name_H-M 'P 1'
_symmetry_Int_Tables_number 1
_symmetry_space_group_name_Hall 'P 1'
loop_
_atom_site_label
_atom_site_fract_x
_atom_site_fract_y
_atom_site_fract_z
_atom_site_occupancy
Er1 0.000 0.000 0.000 1
In1 0.000 0.000 0.500 1
Hg1 0.000 0.500 0.269 1
Hg2 0.000 0.500 0.731 1
Hg3 0.500 0.000 0.269 1
Hg4 0.500 0.000 0.731 1
Hg5 0.500 0.500 0.000 1
```